No. 1
Theoretical X-ray powder pattern
Compound: LaY2Re
Radiation: Cu Ka
Structure: DFT lattice parameters and positions (PBE)

Most intense lines, 2θ from 5° to 70°, in order of rising 2θ:
- hkl 2 0 0, 15.40 deg, I 24
- hkl 2 0 -1, 18.25 deg, I 12
- hkl 4 0 0, 31.09 deg, I 18
- hkl 2 0 -2, 33.42 deg, I 30
- hkl 1 1 1, 33.62 deg, I 100
- hkl 5 1 -1, 43.53 deg, I 19
- hkl 2 0 2, 46.29 deg, I 12
- hkl 0 2 0, 50.20 deg, I 10
- hkl 1 1 -3, 59.87 deg, I 19
- hkl 2 2 -2, 61.66 deg, I 10

Cell and atoms:
Lattice parameters (Å, degrees): 12.689 3.634 5.362 90.00 114.92 90.00
Space group C2/m (No. 12)
Symmetry-distinct sites (fractional):
La  0.000  0.000  0.000 (multiplicity 2)
Y  0.195  0.000  0.695 (multiplicity 4)
Re  0.000  0.500  0.500 (multiplicity 2)

=====

No. 2
Theoretical X-ray powder pattern
Compound: Er3Ge2S
Radiation: Cu Ka
Structure: DFT lattice parameters and positions (PBE)

Most intense lines, 2θ from 5° to 70°, in order of rising 2θ:
- hkl 0 1 3, 26.67 deg, I 31
- hkl 1 1 0, 27.46 deg, I 29
- hkl 0 2 0, 31.27 deg, I 51
- hkl 1 0 3, 31.39 deg, I 100
- hkl 0 0 6, 43.96 deg, I 19
- hkl 1 2 3, 44.90 deg, I 74
- hkl 2 0 0, 46.00 deg, I 17
- hkl 0 2 6, 54.93 deg, I 20
- hkl 2 2 0, 56.68 deg, I 19
- hkl 2 0 6, 65.51 deg, I 12

Cell and atoms:
Lattice parameters (Å, degrees): 3.946 5.721 12.359 90.00 90.00 90.00
Space group Immm (No. 71)
Symmetry-distinct sites (fractional):
Er  0.000  0.000  0.000 (multiplicity 2)
Er  0.000  0.000  0.339 (multiplicity 4)
Ge  0.000  0.500  0.334 (multiplicity 4)
S  0.000  0.500  0.000 (multiplicity 2)

=====

No. 3
Theoretical X-ray powder pattern
Compound: K3RbIn8
Radiation: Cu Ka
Structure: DFT lattice parameters and positions (PBE)

Most intense lines, 2θ from 5° to 70°, in order of rising 2θ:
- hkl 1 0 0, 15.52 deg, I 37
- hkl 0 1 3, 30.34 deg, I 37
- hkl 1 1 2, 32.22 deg, I 85
- hkl 2 0 1, 32.54 deg, I 100
- hkl 0 0 4, 34.77 deg, I 26
- hkl 0 2 2, 35.95 deg, I 44
- hkl 0 2 3, 41.09 deg, I 22
- hkl 3 0 2, 51.16 deg, I 22
- hkl 0 2 5, 54.89 deg, I 28
- hkl 2 2 0, 55.78 deg, I 31

Cell and atoms:
Lattice parameters (Å, degrees): 6.5928 6.5928 10.3196 90.00 90.00 120.00
Space group P3m1 (No. 156)
Symmetry-distinct sites (fractional):
K  0.0000  0.0000  0.0000 (multiplicity 1)
K  0.0000  0.0000  0.3727 (multiplicity 1)
K  0.3333  0.6667  0.8733 (multiplicity 1)
Rb  0.3333  0.6667  0.4981 (multiplicity 1)
In  0.0016  0.5008  0.1836 (multiplicity 3)
In  0.3290  0.1645  0.6884 (multiplicity 3)
In  0.6667  0.3333  0.4368 (multiplicity 1)
In  0.6667  0.3333  0.9351 (multiplicity 1)

=====

No. 4
Theoretical X-ray powder pattern
Compound: Br
Radiation: Cu Ka
Structure: DFT lattice parameters and positions (PBE)

Most intense lines, 2θ from 5° to 70°, in order of rising 2θ:
- hkl 1 1 0, 20.52 deg, I 19
- hkl 2 0 0, 23.23 deg, I 100
- hkl 1 1 2, 30.04 deg, I 43
- hkl 1 1 3, 39.00 deg, I 12
- hkl 0 2 2, 40.85 deg, I 30
- hkl 0 0 4, 44.22 deg, I 9
- hkl 3 1 2, 45.27 deg, I 13
- hkl 4 0 0, 47.51 deg, I 32
- hkl 2 0 4, 50.53 deg, I 12
- hkl 4 2 2, 64.39 deg, I 14

Cell and atoms:
Lattice parameters (Å, degrees): 7.661 5.244 8.194 90.00 90.00 90.00
Space group Cmcm (No. 63)
Symmetry-distinct sites (fractional):
Br  0.000  0.000  0.000 (multiplicity 4)
Br  0.000  0.293  0.250 (multiplicity 4)

=====

No. 5
Theoretical X-ray powder pattern
Compound: PrMn3P3
Radiation: Cu Ka
Structure: DFT lattice parameters and positions (PBE)

Most intense lines, 2θ from 5° to 70°, in order of rising 2θ:
- hkl 1 1 0, 20.03 deg, I 10
- hkl 2 0 0, 28.47 deg, I 44
- hkl 2 1 0, 31.91 deg, I 6
- hkl 2 1 1, 35.06 deg, I 100
- hkl 2 2 0, 40.70 deg, I 2
- hkl 3 1 0, 45.76 deg, I 3
- hkl 2 2 2, 50.42 deg, I 3
- hkl 3 2 1, 54.78 deg, I 53
- hkl 4 0 0, 58.92 deg, I 16
- hkl 4 2 0, 66.71 deg, I 14

Cell and atoms:
Lattice parameters (Å, degrees): 6.270 6.270 6.270 90.00 90.00 90.00
Space group Pm-3n (No. 223)
Symmetry-distinct sites (fractional):
Pr  0.000  0.000  0.000 (multiplicity 2)
Mn  0.000  0.250  0.500 (multiplicity 6)
P  0.000  0.500  0.250 (multiplicity 6)

=====

No. 6
Theoretical X-ray powder pattern
Compound: Ac2Sb7Pd12
Radiation: Cu Ka
Structure: DFT lattice parameters and positions (PBE)

Most intense lines, 2θ from 5° to 70°, in order of rising 2θ:
- hkl 0 2 1, 27.84 deg, I 11
- hkl 3 0 0, 29.27 deg, I 11
- hkl 2 1 1, 32.68 deg, I 100
- hkl 3 0 1, 35.58 deg, I 10
- hkl 0 0 2, 40.17 deg, I 20
- hkl 4 -1 1, 40.84 deg, I 16
- hkl 1 4 0, 45.41 deg, I 20
- hkl 5 -3 1, 47.82 deg, I 15
- hkl 1 4 2, 62.22 deg, I 10
- hkl 2 1 3, 68.29 deg, I 10

Cell and atoms:
Lattice parameters (Å, degrees): 10.5686 10.5686 4.4895 90.00 90.00 120.00
Space group P-3 (No. 147)
Symmetry-distinct sites (fractional):
Ac  0.3333  0.6667  0.2335 (multiplicity 2)
Sb  0.0000  0.0000  0.5000 (multiplicity 1)
Sb  0.1016  0.7047  0.7243 (multiplicity 6)
Pd  0.0618  0.4367  0.7669 (multiplicity 6)
Pd  0.1250  0.2532  0.2066 (multiplicity 6)

=====

No. 7
Theoretical X-ray powder pattern
Compound: NdBeSiPt6
Radiation: Cu Ka
Structure: DFT lattice parameters and positions (PBE)

Most intense lines, 2θ from 5° to 70°, in order of rising 2θ:
- hkl 0 2 0, 22.71 deg, I 24
- hkl 0 0 4, 32.22 deg, I 47
- hkl 2 2 0, 32.39 deg, I 100
- hkl 2 1 3, 35.31 deg, I 13
- hkl 2 0 4, 39.84 deg, I 11
- hkl 0 4 0, 46.35 deg, I 94
- hkl 4 0 0, 46.52 deg, I 20
- hkl 0 4 4, 57.61 deg, I 16
- hkl 4 0 4, 57.71 deg, I 17
- hkl 4 4 0, 67.80 deg, I 12

Cell and atoms:
Lattice parameters (Å, degrees): 7.809 7.828 11.113 90.00 90.00 90.00
Space group Imma (No. 74)
Symmetry-distinct sites (fractional):
Nd  0.000  0.250  0.102 (multiplicity 4)
Be  0.250  0.250  0.750 (multiplicity 4)
Si  0.000  0.000  0.500 (multiplicity 4)
Pt  0.000  0.250  0.380 (multiplicity 4)
Pt  0.000  0.250  0.848 (multiplicity 4)
Pt  0.239  0.017  0.628 (multiplicity 16)

=====

No. 8
Theoretical X-ray powder pattern
Compound: Sr4Li2N
Radiation: Cu Ka
Structure: DFT lattice parameters and positions (PBE)

Most intense lines, 2θ from 5° to 70°, in order of rising 2θ:
- hkl 0 0 2, 18.32 deg, I 87
- hkl 1 0 1, 18.46 deg, I 40
- hkl 1 2 0, 25.78 deg, I 57
- hkl 1 2 -1, 26.24 deg, I 98
- hkl 2 0 -1, 27.52 deg, I 49
- hkl 0 0 3, 27.62 deg, I 35
- hkl 1 0 -3, 27.90 deg, I 77
- hkl 0 2 2, 28.46 deg, I 100
- hkl 1 2 -4, 42.75 deg, I 33
- hkl 0 4 0, 43.92 deg, I 37

Cell and atoms:
Lattice parameters (Å, degrees): 6.511 8.251 9.967 90.00 103.59 90.00
Space group P2_1/m (No. 11)
Symmetry-distinct sites (fractional):
Sr  0.102  0.250  0.032 (multiplicity 2)
Sr  0.153  0.750  0.337 (multiplicity 2)
Sr  0.313  0.503  0.726 (multiplicity 4)
Li  0.237  0.250  0.405 (multiplicity 2)
Li  0.482  0.750  0.060 (multiplicity 2)
N  0.208  0.250  0.813 (multiplicity 2)

=====

No. 9
Theoretical X-ray powder pattern
Compound: Ti3CuH3
Radiation: Cu Ka
Structure: DFT lattice parameters and positions (PBE)

Most intense lines, 2θ from 5° to 70°, in order of rising 2θ:
- hkl 1 1 0, 24.04 deg, I 6
- hkl 2 0 0, 34.26 deg, I 47
- hkl 2 1 0, 38.45 deg, I 80
- hkl 2 1 1, 42.29 deg, I 100
- hkl 2 2 0, 49.23 deg, I 1
- hkl 3 1 0, 55.51 deg, I 2
- hkl 2 2 2, 61.35 deg, I 4
- hkl 3 2 0, 64.15 deg, I 16
- hkl 3 2 1, 66.88 deg, I 45

Cell and atoms:
Lattice parameters (Å, degrees): 5.235 5.235 5.235 90.00 90.00 90.00
Space group Pm-3n (No. 223)
Symmetry-distinct sites (fractional):
Ti  0.000  0.250  0.500 (multiplicity 6)
Cu  0.000  0.000  0.000 (multiplicity 2)
H  0.000  0.500  0.250 (multiplicity 6)

=====

No. 10
Theoretical X-ray powder pattern
Compound: Tb12Pr2Zr
Radiation: Cu Ka
Structure: DFT lattice parameters and positions (PBE)

Most intense lines, 2θ from 5° to 70°, in order of rising 2θ:
- hkl 0 2 7, 30.46 deg, I 44
- hkl 2 0 4, 30.95 deg, I 25
- hkl 0 4 0, 31.45 deg, I 87
- hkl 2 2 2, 31.51 deg, I 55
- hkl 2 2 -4, 31.98 deg, I 100
- hkl 0 2 8, 33.80 deg, I 61
- hkl 2 2 -6, 35.54 deg, I 22
- hkl 2 6 2, 56.02 deg, I 21
- hkl 2 6 -4, 56.33 deg, I 20
- hkl 4 4 -2, 61.58 deg, I 20

Cell and atoms:
Lattice parameters (Å, degrees): 7.105 11.378 24.158 90.00 96.98 90.00
Space group C2/m (No. 12)
Symmetry-distinct sites (fractional):
Tb  0.012  0.000  0.381 (multiplicity 4)
Tb  0.013  0.252  0.306 (multiplicity 8)
Tb  0.016  0.500  0.381 (multiplicity 4)
Tb  0.055  0.253  0.827 (multiplicity 8)
Tb  0.089  0.000  0.923 (multiplicity 4)
Tb  0.100  0.500  0.928 (multiplicity 4)
Tb  0.148  0.254  0.056 (multiplicity 8)
Tb  0.171  0.254  0.564 (multiplicity 8)
Pr  0.220  0.000  0.235 (multiplicity 4)
Pr  0.222  0.500  0.232 (multiplicity 4)
Zr  0.228  0.000  0.503 (multiplicity 4)

=====

No. 11
Theoretical X-ray powder pattern
Compound: AcZr2NbN4
Radiation: Cu Ka
Structure: DFT lattice parameters and positions (PBE)

Most intense lines, 2θ from 5° to 70°, in order of rising 2θ:
- hkl 0 0 2, 15.29 deg, I 27
- hkl 0 2 3, 27.50 deg, I 38
- hkl 0 4 0, 29.94 deg, I 41
- hkl 0 0 4, 30.89 deg, I 67
- hkl 1 1 2, 31.48 deg, I 100
- hkl 1 3 1, 35.64 deg, I 48
- hkl 1 3 2, 38.16 deg, I 68
- hkl 0 4 4, 43.54 deg, I 26
- hkl 1 5 2, 49.26 deg, I 25
- hkl 1 3 5, 53.11 deg, I 23

Cell and atoms:
Lattice parameters (Å, degrees): 3.391 11.937 11.588 90.00 90.00 90.00
Space group Cmcm (No. 63)
Symmetry-distinct sites (fractional):
Ac  0.000  0.100  0.250 (multiplicity 4)
Zr  0.000  0.371  0.038 (multiplicity 8)
Nb  0.000  0.163  0.750 (multiplicity 4)
N  0.000  0.000  0.000 (multiplicity 4)
N  0.000  0.263  0.610 (multiplicity 8)
N  0.000  0.440  0.250 (multiplicity 4)

=====

No. 12
Theoretical X-ray powder pattern
Compound: Tb3SmDy7
Radiation: Cu Ka
Structure: DFT lattice parameters and positions (PBE)

Most intense lines, 2θ from 5° to 70°, in order of rising 2θ:
- hkl 1 1 2, 31.59 deg, I 28
- hkl 2 1 0, 31.81 deg, I 100
- hkl 2 1 -2, 31.98 deg, I 82
- hkl 0 2 0, 32.33 deg, I 87
- hkl 0 1 3, 33.09 deg, I 68
- hkl 2 2 -3, 46.36 deg, I 16
- hkl 4 0 -2, 52.70 deg, I 20
- hkl 2 3 0, 57.33 deg, I 20
- hkl 2 1 4, 58.42 deg, I 17
- hkl 4 2 -2, 63.19 deg, I 23

Cell and atoms:
Lattice parameters (Å, degrees): 6.947 5.538 9.907 90.00 109.97 90.00
Space group P2/m (No. 10)
Symmetry-distinct sites (fractional):
Tb  0.000  0.000  0.000 (multiplicity 1)
Tb  0.221  0.500  0.502 (multiplicity 2)
Sm  0.500  0.000  0.000 (multiplicity 1)
Dy  0.079  0.000  0.669 (multiplicity 2)
Dy  0.178  0.500  0.859 (multiplicity 2)
Dy  0.353  0.500  0.210 (multiplicity 2)
Dy  0.500  0.000  0.500 (multiplicity 1)